Record 1
Theoretical powder diffractogram
Compound: AcErZnPb
Radiation: CuKα
Structure: a crystal structure in Alexandria, relaxed with GGA-PBE
Lines closer than 0.1° are merged.

Crystal structure
Cell: 5.4852 5.4852 5.4852 Å, 60.00 60.00 60.00°
Sites, in units of the cell vectors:
Ac 0.0000 0.0000 0.0000
Er 0.5000 0.5000 0.5000
Zn 0.2500 0.2500 0.2500
Pb 0.7500 0.7500 0.7500

The 10 most intense peaks (10 to 80 degrees two-theta), by angle:
two_theta, I/Imax
19.8, 10
22.9, 3
32.7, 100
38.5, 6
46.8, 19
51.3, 3
58.3, 39
68.4, 12
72.0, 2
77.9, 17



Record 2
Theoretical powder diffractogram
Compound: AcErSbPd
Radiation: CuKα
Structure: a crystal structure in Alexandria, relaxed with GGA-PBE
Lines closer than 0.1° are merged.

Crystal structure
Cell: 5.3817 5.3817 5.3817 Å, 60.00 60.00 60.00°
Sites, in units of the cell vectors:
Ac 0.0000 0.0000 0.0000
Er 0.5000 0.5000 0.5000
Sb 0.2500 0.2500 0.2500
Pd 0.7500 0.7500 0.7500

The 10 most intense peaks (10 to 80 degrees two-theta), by angle:
two_theta, I/Imax
20.2, 2
23.4, 7
33.3, 100
41.1, 2
47.8, 18
53.9, 4
59.5, 38
69.9, 12
74.9, 2
79.7, 16



Record 3
Theoretical powder diffractogram
Compound: AcErSi2Pd5
Radiation: CuKα
Structure: a crystal structure in Alexandria, relaxed with GGA-PBE
Lines closer than 0.1° are merged.

Crystal structure
Cell: 4.2849 4.2849 9.0832 Å, 90.00 90.00 90.00°
Sites, in units of the cell vectors:
Ac 0.0000 0.0000 0.0000
Er 0.0000 0.0000 0.5000
Si 0.5000 0.5000 0.3714
Si 0.5000 0.5000 0.6286
Pd 0.0000 0.5000 0.2451
Pd 0.0000 0.5000 0.7549
Pd 0.5000 0.0000 0.2451
Pd 0.5000 0.0000 0.7549
Pd 0.5000 0.5000 0.0000

The 10 most intense peaks (10 to 80 degrees two-theta), by angle:
two_theta, I/Imax
20.7, 10
28.6, 16
35.6, 100
39.7, 16
42.2, 40
59.3, 21
61.2, 12
69.4, 15
72.8, 25
75.4, 10



Record 4
Theoretical powder diffractogram
Compound: AcPm12Er6
Radiation: CuKα
Structure: a crystal structure in Alexandria, relaxed with GGA-PBE
Lines closer than 0.1° are merged.

Crystal structure
Cell: 8.8530 8.8530 8.8530 Å, 99.20 99.20 99.20°
Sites, in units of the cell vectors:
Ac 0.0000 0.0000 0.0000
Pm 0.0798 0.3541 0.3541
Pm 0.2413 0.5000 0.7587
Pm 0.2413 0.7587 0.5000
Pm 0.3541 0.0798 0.3541
Pm 0.3541 0.3541 0.0798
Pm 0.5000 0.2413 0.7587
Pm 0.5000 0.7587 0.2413
Pm 0.6459 0.6459 0.9202
Pm 0.6459 0.9202 0.6459
Pm 0.7587 0.2413 0.5000
Pm 0.7587 0.5000 0.2413
Pm 0.9202 0.6459 0.6459
Er 0.1038 0.1038 0.6575
Er 0.1038 0.6575 0.1038
Er 0.3425 0.8962 0.8962
Er 0.6575 0.1038 0.1038
Er 0.8962 0.3425 0.8962
Er 0.8962 0.8962 0.3425

The 10 most intense peaks (10 to 80 degrees two-theta), by angle:
two_theta, I/Imax
28.4, 36
29.3, 60
31.0, 66
31.3, 64
31.4, 100
33.8, 43
34.1, 44
34.2, 38
54.4, 30
56.0, 32



Record 5
Theoretical powder diffractogram
Compound: Ac2Pm5Er6
Radiation: CuKα
Structure: a crystal structure in Alexandria, relaxed with GGA-PBE
Lines closer than 0.1° are merged.

Crystal structure
Cell: 11.9467 20.5634 3.6545 Å, 90.00 90.00 90.00°
Sites, in units of the cell vectors:
Ac 0.1650 0.2235 0.0000
Ac 0.3350 0.7235 0.0000
Ac 0.6650 0.2765 0.0000
Ac 0.8350 0.7765 0.0000
Pm 0.0000 0.5000 0.5000
Pm 0.0950 0.7849 0.5000
Pm 0.2011 0.0532 0.5000
Pm 0.2989 0.5532 0.5000
Pm 0.4050 0.2849 0.5000
Pm 0.5000 0.0000 0.5000
Pm 0.5950 0.7151 0.5000
Pm 0.7011 0.4468 0.5000
Pm 0.7989 0.9468 0.5000
Pm 0.9050 0.2151 0.5000
Er 0.0615 0.9264 0.0000
Er 0.0706 0.6389 0.0000
Er 0.1842 0.3808 0.5000
Er 0.3158 0.8808 0.5000
Er 0.4294 0.1389 0.0000
Er 0.4385 0.4264 0.0000
Er 0.5615 0.5736 0.0000
Er 0.5706 0.8611 0.0000
Er 0.6842 0.1192 0.5000
Er 0.8158 0.6192 0.5000
Er 0.9294 0.3611 0.0000
Er 0.9385 0.0736 0.0000

The 10 most intense peaks (10 to 80 degrees two-theta), by angle:
two_theta, I/Imax
28.7, 20
30.2, 59
30.9, 39
31.2, 37
31.4, 58
31.5, 100
33.6, 38
34.5, 24
35.8, 25
49.9, 23



Record 6
Theoretical powder diffractogram
Compound: AcPm5Er2
Radiation: CuKα
Structure: a crystal structure in Alexandria, relaxed with GGA-PBE
Lines closer than 0.1° are merged.

Crystal structure
Cell: 7.3177 14.6393 5.1477 Å, 90.00 90.00 90.00°
Sites, in units of the cell vectors:
Ac 0.0000 0.0000 0.0000
Ac 0.5000 0.5000 0.0000
Pm 0.0000 0.5000 0.0000
Pm 0.0021 0.2524 0.0000
Pm 0.2453 0.6274 0.5000
Pm 0.2547 0.1274 0.5000
Pm 0.4979 0.7524 0.0000
Pm 0.5000 0.0000 0.0000
Pm 0.5021 0.2476 0.0000
Pm 0.7453 0.8726 0.5000
Pm 0.7547 0.3726 0.5000
Pm 0.9979 0.7476 0.0000
Er 0.2490 0.3726 0.5000
Er 0.2510 0.8726 0.5000
Er 0.7490 0.1274 0.5000
Er 0.7510 0.6274 0.5000

The 10 most intense peaks (10 to 80 degrees two-theta), by angle:
two_theta, I/Imax
30.0, 100
34.7, 34
34.9, 17
49.8, 12
50.0, 24
59.2, 29
59.5, 14
62.3, 13
73.1, 4
73.6, 2



Record 7
Theoretical powder diffractogram
Compound: Ac6Pm3Er
Radiation: CuKα
Structure: a crystal structure in Alexandria, relaxed with GGA-PBE
Lines closer than 0.1° are merged.

Crystal structure
Cell: 3.8747 6.6646 31.0796 Å, 93.80 90.04 90.01°
Sites, in units of the cell vectors:
Ac 0.9996 0.1352 0.4032
Ac 0.0004 0.8648 0.5968
Ac 0.0010 0.6912 0.0953
Ac 0.4972 0.7282 0.7021
Ac 0.4989 0.6364 0.4017
Ac 0.4987 0.8032 0.9017
Ac 0.4995 0.8923 0.1997
Ac 0.5005 0.1077 0.8003
Ac 0.5013 0.1968 0.0983
Ac 0.5011 0.3636 0.5983
Ac 0.5028 0.2718 0.2979
Ac 0.9990 0.3088 0.9047
Pm 0.0000 0.0000 0.0000
Pm 0.0001 0.3984 0.1980
Pm 0.0000 0.5000 0.5000
Pm 0.9999 0.6016 0.8020
Pm 0.0012 0.7662 0.3003
Pm 0.9988 0.2338 0.6997
Er 0.5000 0.0000 0.5000
Er 0.5000 0.5000 0.0000

The 10 most intense peaks (10 to 80 degrees two-theta), by angle:
two_theta, I/Imax
27.8, 37
28.7, 100
28.8, 81
29.4, 31
31.3, 26
32.3, 42
33.0, 27
47.2, 43
56.0, 39
56.3, 30



Record 8
Theoretical powder diffractogram
Compound: AcPm10Er6
Radiation: CuKα
Structure: a crystal structure in Alexandria, relaxed with GGA-PBE
Lines closer than 0.1° are merged.

Crystal structure
Cell: 9.8491 9.8491 6.9250 Å, 90.00 90.00 120.00°
Sites, in units of the cell vectors:
Ac 0.0000 0.0000 0.0000
Pm 0.0000 0.2835 0.3269
Pm 0.0000 0.7165 0.6731
Pm 0.2835 0.0000 0.3269
Pm 0.2835 0.2835 0.6731
Pm 0.3333 0.6667 0.0000
Pm 0.3333 0.6667 0.5000
Pm 0.6667 0.3333 0.0000
Pm 0.6667 0.3333 0.5000
Pm 0.7165 0.0000 0.6731
Pm 0.7165 0.7165 0.3269
Er 0.0000 0.3703 0.8142
Er 0.0000 0.6297 0.1858
Er 0.3703 0.0000 0.8142
Er 0.3703 0.3703 0.1858
Er 0.6297 0.0000 0.1858
Er 0.6297 0.6297 0.8142

The 10 most intense peaks (10 to 80 degrees two-theta), by angle:
two_theta, I/Imax
24.5, 12
30.6, 34
31.5, 83
31.6, 100
40.3, 9
45.2, 28
48.3, 12
56.1, 30
56.3, 19
62.0, 10



Record 9
Theoretical powder diffractogram
Compound: AcPm6Er12
Radiation: CuKα
Structure: a crystal structure in Alexandria, relaxed with GGA-PBE
Lines closer than 0.1° are merged.

Crystal structure
Cell: 8.7384 8.7384 8.7384 Å, 98.98 98.98 98.98°
Sites, in units of the cell vectors:
Ac 0.0000 0.0000 0.0000
Pm 0.1033 0.1033 0.6507
Pm 0.1033 0.6507 0.1033
Pm 0.3493 0.8967 0.8967
Pm 0.6507 0.1033 0.1033
Pm 0.8967 0.3493 0.8967
Pm 0.8967 0.8967 0.3493
Er 0.0804 0.3560 0.3560
Er 0.2422 0.5000 0.7578
Er 0.2422 0.7578 0.5000
Er 0.3560 0.0804 0.3560
Er 0.3560 0.3560 0.0804
Er 0.5000 0.2422 0.7578
Er 0.5000 0.7578 0.2422
Er 0.6440 0.6440 0.9196
Er 0.6440 0.9196 0.6440
Er 0.7578 0.2422 0.5000
Er 0.7578 0.5000 0.2422
Er 0.9196 0.6440 0.6440

The 10 most intense peaks (10 to 80 degrees two-theta), by angle:
two_theta, I/Imax
28.9, 34
29.5, 56
31.4, 65
31.6, 59
31.9, 100
34.3, 46
34.5, 35
34.7, 26
55.3, 32
56.8, 32



Record 10
Theoretical powder diffractogram
Compound: AcPm3Er6
Radiation: CuKα
Structure: a crystal structure in Alexandria, relaxed with GGA-PBE
Lines closer than 0.1° are merged.

Crystal structure
Cell: 5.6248 8.6385 8.8482 Å, 118.17 90.93 108.35°
Sites, in units of the cell vectors:
Ac 0.0000 0.0000 0.0000
Pm 0.2650 0.5353 0.3018
Pm 0.5000 0.0000 0.5000
Pm 0.7350 0.4647 0.6982
Er 0.1112 0.2246 0.4533
Er 0.1718 0.3270 0.8540
Er 0.3596 0.7153 0.7655
Er 0.6404 0.2847 0.2345
Er 0.8282 0.6730 0.1460
Er 0.8888 0.7754 0.5467

The 10 most intense peaks (10 to 80 degrees two-theta), by angle:
two_theta, I/Imax
31.2, 26
31.3, 61
31.6, 33
31.7, 100
31.8, 73
32.0, 64
34.1, 37
34.6, 35
45.6, 20
56.5, 16



Record 11
Theoretical powder diffractogram
Compound: AcPm4Er7
Radiation: CuKα
Structure: a crystal structure in Alexandria, relaxed with GGA-PBE
Lines closer than 0.1° are merged.

Crystal structure
Cell: 6.2832 7.2514 8.9367 Å, 90.09 103.57 90.01°
Sites, in units of the cell vectors:
Ac 0.0000 0.0000 0.0000
Pm 0.2218 0.4989 0.6678
Pm 0.2806 0.7484 0.3373
Pm 0.7194 0.2516 0.6627
Pm 0.7782 0.5011 0.3322
Er 0.0000 0.5000 0.0000
Er 0.2237 0.9990 0.6630
Er 0.2795 0.2514 0.3352
Er 0.4996 0.2522 0.0007
Er 0.5004 0.7478 0.9993
Er 0.7205 0.7486 0.6648
Er 0.7763 0.0010 0.3370

The 10 most intense peaks (10 to 80 degrees two-theta), by angle:
two_theta, I/Imax
28.6, 41
30.9, 50
31.6, 100
33.3, 91
50.3, 39
54.3, 21
57.6, 20
60.2, 38
60.7, 16
61.7, 16



Record 12
Theoretical powder diffractogram
Compound: Ac4Pm2Er
Radiation: CuKα
Structure: a crystal structure in Alexandria, relaxed with GGA-PBE
Lines closer than 0.1° are merged.

Crystal structure
Cell: 8.4507 8.4507 18.3222 Å, 90.73 90.73 153.83°
Sites, in units of the cell vectors:
Ac 0.1150 0.7544 0.9224
Ac 0.2456 0.8850 0.5776
Ac 0.3253 0.4478 0.5804
Ac 0.4478 0.3253 0.0804
Ac 0.5522 0.6747 0.9196
Ac 0.6747 0.5522 0.4196
Ac 0.7544 0.1150 0.4224
Ac 0.8850 0.2456 0.0776
Pm 0.0339 0.9661 0.2500
Pm 0.3713 0.6287 0.2500
Pm 0.6287 0.3713 0.7500
Pm 0.9661 0.0339 0.7500
Er 0.2978 0.7022 0.7500
Er 0.7022 0.2978 0.2500

The 10 most intense peaks (10 to 80 degrees two-theta), by angle:
two_theta, I/Imax
22.1, 28
26.1, 100
27.4, 23
28.8, 22
29.3, 82
29.7, 43
30.6, 31
31.5, 20
35.5, 21
48.1, 22



Question: Number 7 is which compound?
Answer: Ac6Pm3Er